This entry pairs a crystal structure of Li5Fe3Sb2O10 with its theoretical X-ray diffraction stick pattern. Radiation: Cu Kα. Structure: a DFT-relaxed cell (PBE+U, Alexandria).
Neutral-atom scattering factors, no anomalous dispersion.

```
Li5Fe3Sb2O10
1.0
5.412 0.000 0.000
-1.675 8.186 0.000
-1.697 -4.025 9.643
Li Fe Sb O
10 6 4 20
Cartesian
0.000 0.000 0.000
-2.474 6.002 4.845
-0.954 5.010 1.011
-1.751 2.993 5.855
-0.908 0.212 6.740
0.005 2.231 1.970
-1.157 2.540 8.664
0.017 4.637 3.937
1.651 1.372 7.612
2.913 3.542 3.008
0.830 -0.712 2.838
0.062 -2.658 7.675
1.821 -1.059 5.717
2.679 1.048 1.009
3.600 0.640 3.829
2.746 -1.286 8.721
0.881 1.805 4.771
1.725 3.861 0.021
1.866 6.319 1.915
1.041 4.339 6.880
-2.511 3.700 7.793
-0.764 2.483 3.804
-1.642 0.517 8.777
0.064 -0.094 4.672
0.898 2.029 0.155
-0.764 5.347 5.697
0.227 7.144 1.062
-0.025 1.989 6.525
0.944 4.473 1.844
0.843 -0.584 7.871
1.759 1.368 2.956
2.780 -1.409 3.716
1.920 -3.163 8.832
2.540 5.745 0.035
1.803 3.584 4.756
2.496 0.926 5.683
3.356 3.155 0.962
4.428 -0.049 1.818
3.583 -1.921 6.714
3.502 5.584 2.776
```

Principal peaks in the range 2θ from 15° to 90°, in order of rising 2θ:
| two_theta | d [Å] | I (rel.) | (hkl) |
| --- | --- | --- | --- |
| 17.27 | 5.136 | 49.0 | 1 0 0 |
| 17.60 | 5.039 | 100.0 | 0 1 -2 |
| 21.93 | 4.053 | 31.6 | 1 0 -2 |
| 25.46 | 3.499 | 24.9 | 0 1 2 |
| 33.63 | 2.665 | 16.6 | 2 -1 0 |
| 34.14 | 2.627 | 18.6 | -1 2 2 |
| 35.24 | 2.547 | 30.8 | 1 1 2 |
| 35.64 | 2.519 | 19.9 | 0 2 -4 |
| 40.09 | 2.249 | 50.8 | 1 3 -2 |
| 40.95 | 2.204 | 44.0 | 2 -2 2 |
| 41.94 | 2.154 | 40.5 | -1 1 4 |
| 59.80 | 1.547 | 25.3 | -3 3 2 |